Starting from DFT lattice parameters and positions (PBE), the X-ray powder pattern of CsAg2I2Cl was computed for CuKα.
Peak positions follow from Bragg's law for the DFT cell and can differ from measured ones.

Crystal structure
a b c (Å): 9.157 5.929 9.200
angles (deg): 90.00 103.69 90.00
Fractional coordinates of all 12 atoms:
Cs 0.227 0.250 0.275
Cs 0.773 0.750 0.725
Ag 0.326 0.000 0.828
Ag 0.326 0.500 0.828
Ag 0.674 0.000 0.172
Ag 0.674 0.500 0.172
I 0.071 0.250 0.845
I 0.341 0.750 0.573
I 0.659 0.250 0.427
I 0.929 0.750 0.155
Cl 0.409 0.750 0.092
Cl 0.591 0.250 0.908

Top 8 peaks for 10 to 90 degrees two-theta, sorted by position:
2θ = 19.91°, 4.458 Å, I = 45; 2θ = 20.05°, 4.429 Å, I = 46; 2θ = 24.99°, 3.564 Å, I = 100; 2θ = 25.10°, 3.548 Å, I = 44; 2θ = 28.68°, 3.112 Å, I = 51; 2θ = 39.13°, 2.302 Å, I = 62; 2θ = 39.35°, 2.290 Å, I = 43; 2θ = 42.57°, 2.124 Å, I = 51

***

Starting from DFT lattice parameters and positions (PBE), the X-ray powder pattern of CsMnAgCl6 was computed for CuKα.
Peak positions follow from Bragg's law for the DFT cell and can differ from measured ones.

Crystal structure
a b c (Å): 6.812 6.812 7.417
angles (deg): 90.00 90.00 120.00
Fractional coordinates of all 9 atoms:
Cs 0.000 0.000 0.000
Mn 0.667 0.333 0.500
Ag 0.333 0.667 0.500
Cl 0.401 0.050 0.680
Cl 0.401 0.351 0.320
Cl 0.649 0.050 0.320
Cl 0.649 0.599 0.680
Cl 0.950 0.351 0.680
Cl 0.950 0.599 0.320

Top 8 peaks for 10 to 90 degrees two-theta, sorted by position:
2θ = 11.93°, 7.417 Å, I = 18; 2θ = 19.22°, 4.617 Å, I = 100; 2θ = 26.17°, 3.406 Å, I = 19; 2θ = 28.85°, 3.095 Å, I = 15; 2θ = 32.67°, 2.741 Å, I = 20; 2θ = 35.80°, 2.508 Å, I = 54; 2θ = 42.33°, 2.135 Å, I = 27; 2θ = 46.17°, 1.966 Å, I = 16

***

Starting from DFT lattice parameters and positions (PBE), the X-ray powder pattern of Cs2AgMoCl6 was computed for CuKα.
Peak positions follow from Bragg's law for the DFT cell and can differ from measured ones.

Crystal structure
a b c (Å): 13.231 13.231 13.231
angles (deg): 32.82 32.82 32.82
Fractional coordinates of all 20 atoms:
Cs 0.125 0.125 0.125
Cs 0.292 0.292 0.292
Cs 0.708 0.708 0.708
Cs 0.875 0.875 0.875
Ag 0.411 0.411 0.411
Ag 0.589 0.589 0.589
Mo 0.000 0.000 0.000
Mo 0.500 0.500 0.500
Cl 0.149 0.618 0.618
Cl 0.194 0.194 0.727
Cl 0.194 0.727 0.194
Cl 0.273 0.806 0.806
Cl 0.382 0.382 0.851
Cl 0.382 0.851 0.382
Cl 0.618 0.149 0.618
Cl 0.618 0.618 0.149
Cl 0.727 0.194 0.194
Cl 0.806 0.273 0.806
Cl 0.806 0.806 0.273
Cl 0.851 0.382 0.382

Top 8 peaks for 10 to 90 degrees two-theta, sorted by position:
2θ = 21.52°, 4.129 Å, I = 47; 2θ = 23.81°, 3.737 Å, I = 100; 2θ = 27.47°, 3.246 Å, I = 29; 2θ = 30.07°, 2.972 Å, I = 28; 2θ = 32.31°, 2.771 Å, I = 67; 2θ = 36.67°, 2.451 Å, I = 28; 2θ = 41.87°, 2.158 Å, I = 24; 2θ = 48.73°, 1.869 Å, I = 41

***

Starting from DFT lattice parameters and positions (PBE), the X-ray powder pattern of CsNdAgCl5 was computed for CuKα.
Peak positions follow from Bragg's law for the DFT cell and can differ from measured ones.

Crystal structure
a b c (Å): 7.916 7.916 10.503
angles (deg): 102.14 102.14 108.78
Fractional coordinates of all 16 atoms:
Cs 0.159 0.841 0.750
Cs 0.841 0.159 0.250
Nd 0.500 0.500 0.000
Nd 0.500 0.500 0.500
Ag 0.187 0.813 0.250
Ag 0.813 0.187 0.750
Cl 0.135 0.257 0.929
Cl 0.206 0.601 0.408
Cl 0.257 0.135 0.429
Cl 0.399 0.794 0.092
Cl 0.432 0.568 0.750
Cl 0.568 0.432 0.250
Cl 0.601 0.206 0.908
Cl 0.743 0.865 0.571
Cl 0.794 0.399 0.592
Cl 0.865 0.743 0.071

Top 8 peaks for 10 to 90 degrees two-theta, sorted by position:
2θ = 18.64°, 4.761 Å, I = 100; 2θ = 20.67°, 4.298 Å, I = 76; 2θ = 22.82°, 3.897 Å, I = 53; 2θ = 23.17°, 3.839 Å, I = 79; 2θ = 30.72°, 2.910 Å, I = 23; 2θ = 35.01°, 2.563 Å, I = 27; 2θ = 37.75°, 2.383 Å, I = 38; 2θ = 40.37°, 2.234 Å, I = 31

***

Starting from DFT lattice parameters and positions (PBE), the X-ray powder pattern of Cs2NdAgCl6 was computed for CuKα.
Peak positions follow from Bragg's law for the DFT cell and can differ from measured ones.

Crystal structure
a b c (Å): 7.791 7.791 7.791
angles (deg): 60.00 60.00 60.00
Fractional coordinates of all 10 atoms:
Cs 0.250 0.250 0.250
Cs 0.750 0.750 0.750
Nd 0.000 0.000 0.000
Ag 0.500 0.500 0.500
Cl 0.248 0.248 0.752
Cl 0.248 0.752 0.248
Cl 0.248 0.752 0.752
Cl 0.752 0.248 0.248
Cl 0.752 0.248 0.752
Cl 0.752 0.752 0.248

Top 8 peaks for 10 to 90 degrees two-theta, sorted by position:
2θ = 22.83°, 3.895 Å, I = 100; 2θ = 32.51°, 2.754 Å, I = 56; 2θ = 40.09°, 2.249 Å, I = 47; 2θ = 46.63°, 1.948 Å, I = 39; 2θ = 52.53°, 1.742 Å, I = 21; 2θ = 57.99°, 1.590 Å, I = 13; 2θ = 63.15°, 1.472 Å, I = 25; 2θ = 77.49°, 1.232 Å, I = 17

***

Starting from DFT lattice parameters and positions (PBE), the X-ray powder pattern of Cs3NpAg2Cl8 was computed for CuKα.
Peak positions follow from Bragg's law for the DFT cell and can differ from measured ones.

Crystal structure
a b c (Å): 7.617 7.617 10.247
angles (deg): 90.00 90.00 120.00
Fractional coordinates of all 14 atoms:
Cs 0.000 0.000 0.000
Cs 0.333 0.667 0.637
Cs 0.667 0.333 0.363
Np 0.000 0.000 0.500
Ag 0.333 0.667 0.190
Ag 0.667 0.333 0.810
Cl 0.165 0.331 0.341
Cl 0.165 0.835 0.341
Cl 0.331 0.165 0.659
Cl 0.333 0.667 0.955
Cl 0.667 0.333 0.045
Cl 0.669 0.835 0.341
Cl 0.835 0.165 0.659
Cl 0.835 0.669 0.659

Top 8 peaks for 10 to 90 degrees two-theta, sorted by position:
2θ = 21.97°, 4.046 Å, I = 77; 2θ = 23.36°, 3.809 Å, I = 100; 2θ = 32.28°, 2.773 Å, I = 58; 2θ = 37.67°, 2.388 Å, I = 21; 2θ = 40.22°, 2.242 Å, I = 33; 2θ = 41.05°, 2.199 Å, I = 23; 2θ = 44.80°, 2.023 Å, I = 27; 2θ = 47.76°, 1.904 Å, I = 25